Calculated powder X-ray diffraction pattern of MgCu2 for Cu Kα, from a DFT-relaxed cell (PBE, OQMD).

Crystal structure
Cell lengths 4.9499, 4.9499, 4.9499 Å; angles 60.00, 60.00, 60.00 degrees
Fractional positions:
Mg: 0.1250 0.1250 0.1250
Mg: 0.8750 0.8750 0.8750
Cu: 0.0000 0.5000 0.5000
Cu: 0.5000 0.0000 0.5000
Cu: 0.5000 0.5000 0.0000
Cu: 0.5000 0.5000 0.5000

Top 11 peaks for 2θ from 10° to 90°, in order of rising 2θ:
2θ 21.99, I = 66
2θ 36.30, I = 7
2θ 42.85, I = 100
2θ 44.85, I = 73
2θ 52.27, I = 22
2θ 57.38, I = 13
2θ 65.30, I = 2
2θ 69.81, I = 28
2θ 77.07, I = 27
2θ 81.31, I = 9
2θ 88.29, I = 1